(1)
Theoretical X-ray diffraction stick pattern
Compound: CeB2ClO4
Radiation: a wavelength of 1.5418 Å
Structure: a cell relaxed with GGA-PBE
No peak broadening, texture or thermal motion is included.

a = 4.2507 Å, b = 6.6597 Å, c = 8.2038 Å
α = 81.95°, β = 89.06°, γ = 72.41°
Space group P-1 (No. 2)
Symmetry-distinct sites (fractional):
1 Ce 0.2024 0.0348 0.2213
2 B 0.1665 0.3492 0.8514
3 B 0.4357 0.4374 0.1947
4 Cl 0.1469 0.1982 0.5440
5 O 0.0973 0.4653 0.1786
6 O 0.1599 0.1543 0.9214
7 O 0.3697 0.7635 0.7901
8 O 0.4782 0.3744 0.8167

Peak list (6 most intense, 2θ from 10° to 90°, low angle first)
2theta	I_rel	(hkl)
14.09	100	0 1 0
21.90	63	0 0 2
24.32	42	0 1 2
24.83	29	1 0 1
25.43	29	1 1 -1
33.47	60	0 2 2

---

(2)
Theoretical X-ray diffraction stick pattern
Compound: TbAs2O2
Radiation: a wavelength of 1.5418 Å
Structure: a cell relaxed with GGA-PBE
No peak broadening, texture or thermal motion is included.

a = 10.0060 Å, b = 10.0060 Å, c = 10.4931 Å
α = 90.00°, β = 90.00°, γ = 90.00°
Space group I4_1/amd (No. 141, origin choice 2)
Symmetry-distinct sites (fractional):
1 Tb 0.0000 0.0000 0.0000
2 As 0.0000 0.0680 0.7205
3 O 0.0000 0.0859 0.1961

Peak list (6 most intense, 2θ from 10° to 90°, low angle first)
2theta	I_rel	(hkl)
12.22	100	1 0 1
25.17	84	2 2 0
27.00	30	1 0 3
33.40	35	3 2 1
41.54	27	3 2 3
42.92	29	2 2 4

---

(3)
Theoretical X-ray diffraction stick pattern
Compound: Lu2CdTc
Radiation: a wavelength of 1.5418 Å
Structure: a cell relaxed with GGA-PBE
No peak broadening, texture or thermal motion is included.

a = 6.9926 Å, b = 6.9926 Å, c = 6.9926 Å
α = 90.00°, β = 90.00°, γ = 90.00°
Space group Fm-3m (No. 225)
Symmetry-distinct sites (fractional):
1 Lu 0.2500 0.2500 0.2500
2 Cd 0.0000 0.0000 0.0000
3 Tc 0.0000 0.0000 0.5000

Peak list (6 most intense, 2θ from 10° to 90°, low angle first)
2theta	I_rel	(hkl)
25.48	6	2 0 0
36.34	100	2 2 0
52.33	17	4 0 0
65.38	36	4 2 2
77.17	11	4 4 0
88.42	16	6 2 0

---

(4)
Theoretical X-ray diffraction stick pattern
Compound: Zn3As2H8O12
Radiation: a wavelength of 1.5418 Å
Structure: a cell relaxed with GGA-PBE
No peak broadening, texture or thermal motion is included.

a = 5.4971 Å, b = 6.0760 Å, c = 7.7148 Å
α = 91.90°, β = 95.76°, γ = 91.11°
Space group P-1 (No. 2)
Symmetry-distinct sites (fractional):
1 Zn 0.0000 0.0000 0.0000
2 Zn 0.3089 0.2411 0.3964
3 As 0.1633 0.7400 0.3712
4 H 0.2504 0.4075 0.0277
5 H 0.2509 0.7866 0.7716
6 H 0.2710 0.3105 0.8341
7 H 0.4018 0.7741 0.9593
8 O 0.1421 0.3030 0.6068
9 O 0.1890 0.9748 0.2482
10 O 0.2327 0.7760 0.8991
11 O 0.2743 0.5188 0.2625
12 O 0.2839 0.2721 0.9592
13 O 0.3322 0.8037 0.5672

Peak list (6 most intense, 2θ from 10° to 90°, low angle first)
2theta	I_rel	(hkl)
11.54	95	0 0 1
18.96	100	1 0 -1
27.02	48	1 0 -2
29.77	49	1 0 2
31.31	51	0 2 -1
32.76	59	1 -1 2

---

(5)
Theoretical X-ray diffraction stick pattern
Compound: TaVCu6S8
Radiation: a wavelength of 1.5418 Å
Structure: a cell relaxed with GGA-PBE
No peak broadening, texture or thermal motion is included.

a = 7.7644 Å, b = 7.7644 Å, c = 5.4999 Å
α = 90.00°, β = 90.00°, γ = 90.00°
Space group P-4m2 (No. 115)
Symmetry-distinct sites (fractional):
1 Ta 0.0000 0.0000 0.0000
2 V 0.5000 0.5000 0.0000
3 Cu 0.0000 0.0000 0.5000
4 Cu 0.2538 0.2538 0.0000
5 Cu 0.5000 0.5000 0.5000
6 S 0.0000 0.2443 0.7566
7 S 0.2672 0.5000 0.2341

Peak list (6 most intense, 2θ from 10° to 90°, low angle first)
2theta	I_rel	(hkl)
16.13	100	1 1 0
28.14	25	2 0 1
36.58	42	1 1 2
46.77	67	2 2 2
49.80	24	3 1 2
86.86	20	4 0 4

---

(6)
Theoretical X-ray diffraction stick pattern
Compound: ErGe2Rh2
Radiation: a wavelength of 1.5418 Å
Structure: a cell relaxed with GGA-PBE
No peak broadening, texture or thermal motion is included.

a = 4.1376 Å, b = 4.1376 Å, c = 10.3263 Å
α = 90.00°, β = 90.00°, γ = 90.00°
Space group I4/mmm (No. 139)
Symmetry-distinct sites (fractional):
1 Er 0.0000 0.0000 0.0000
2 Ge 0.0000 0.0000 0.3790
3 Rh 0.0000 0.5000 0.2500

Peak list (6 most intense, 2θ from 10° to 90°, low angle first)
2theta	I_rel	(hkl)
33.88	52	1 0 3
35.26	100	1 1 2
43.76	51	2 0 0
49.32	21	1 0 5
56.46	24	2 1 3
74.86	22	3 1 2